Computed PXRD pattern
Compound: NiTe6Rh
Radiation: copper Kα
Structure: a GGA-PBE-relaxed structure
Peak positions follow from Bragg's law for the DFT cell and can differ from measured ones.

Largest 8 diffraction maxima, most intense first, 2θ = 5–70°:
2θ/deg	I (rel.)
32.06	100
48.05	30
43.83	30
59.25	17
58.94	15
33.71	12
27.32	12
59.97	11

Atomic structure:
Cell: 6.5288 6.5288 6.5288 Å, 60.31 60.31 60.31°
Sites, in units of the cell vectors:
Ni1 0.0000 0.0000 0.0000
Te1 0.0532 0.4398 0.7537
Te2 0.2463 0.9468 0.5602
Te3 0.4398 0.7537 0.0532
Te4 0.5602 0.2463 0.9468
Te5 0.7537 0.0532 0.4398
Te6 0.9468 0.5602 0.2463
Rh1 0.5000 0.5000 0.5000